The following is a simulated powder diffractogram of Li5Mn2Co5O12. It was derived from the GGA+U geometry in Alexandria, using Cu Kα X-rays.
Peak positions follow from Bragg's law for the DFT cell and can differ from measured ones.

Cell and atoms:
```
Li5Mn2Co5O12
1.0
2.5256 -4.3894 0.0000
2.5256 4.3894 0.0000
-1.8301 0.0000 9.6531
Li Mn Co O
5 2 5 12
Cartesian
0.0000 0.0000 0.0000
0.7946 1.4268 2.3726
-0.0850 0.0342 7.2528
2.4266 1.4268 7.2805
3.3062 0.0342 2.4003
1.6106 2.9416 4.8265
2.5256 -1.4673 0.0000
2.5256 1.4407 0.0000
0.7787 -1.4273 2.3615
1.6106 0.0198 4.8265
1.6106 -2.8757 4.8265
2.4425 -1.4273 7.2916
1.6603 2.8011 1.1136
-0.0101 -0.0461 3.7176
0.7891 1.4919 5.8891
1.5609 2.8011 8.5395
1.7769 -0.0352 1.0703
2.4321 1.4919 3.7640
0.8716 -1.3219 6.0079
1.4443 -0.0352 8.5828
1.6175 -2.8309 1.0945
2.3496 -1.3219 3.6452
3.2313 -0.0461 5.9355
1.6036 -2.8309 8.5586
```

Main lines, sorted by position (10° ≤ 2θ ≤ 90°):
- d 4.827, I 44
- d 4.389, I 21
- d 4.206, I 22
- d 3.725, I 28
- d 2.397, I 16
- d 2.384, I 25
- d 2.082, I 100
- d 2.057, I 48
- d 1.467, I 27
- d 1.459, I 27